This entry pairs a crystal structure of SrMgTl14 with its calculated powder diffractogram. Radiation: CuKα. Structure: a structure optimized by DFT (GGA-PBE).
Neutral-atom scattering factors, no anomalous dispersion.

Structure:
```
data_SrMgTl14
_cell_length_a 11.0270
_cell_length_b 7.9231
_cell_length_c 11.1437
_cell_angle_alpha 90.00
_cell_angle_beta 90.00
_cell_angle_gamma 90.00
_symmetry_space_group_name_H-M 'A m m 2'
_symmetry_Int_Tables_number 38
_symmetry_space_group_name_Hall 'A 2 -2'
loop_
_atom_site_label
_atom_site_type_symbol
_atom_site_fract_x
_atom_site_fract_y
_atom_site_fract_z
Sr1 Sr 0.0000 0.0000 0.0000
Mg1 Mg 0.0000 0.0000 0.4629
Tl1 Tl 0.0000 0.2122 0.7293
Tl2 Tl 0.2345 0.0000 0.2624
Tl3 Tl 0.2455 0.2205 0.5277
Tl4 Tl 0.2641 0.0000 0.7934
Tl5 Tl 0.5000 0.0000 0.0172
Tl6 Tl 0.5000 0.0000 0.5304
Tl7 Tl 0.5000 0.2319 0.2721
```

Largest 6 diffraction maxima, by angle, 10° ≤ 2θ ≤ 90°:
| d/Å | 2theta | intensity | hkl |
| --- | --- | --- | --- |
| 2.786 | 32.1 | 100 | 2 2 2 |
| 2.757 | 32.5 | 22 | 4 0 0 |
| 1.960 | 46.3 | 13 | 4 0 4 |
| 1.609 | 57.3 | 17 | 4 4 0 |
| 1.597 | 57.7 | 15 | 6 2 2 |
| 1.393 | 67.2 | 8 | 4 4 4 |

=====

This entry pairs a crystal structure of K5Rb2Hg2Au with its calculated powder diffractogram. Radiation: CuKα. Structure: a structure optimized by DFT (GGA-PBE).
Neutral-atom scattering factors, no anomalous dispersion.

Structure:
```
data_K5Rb2Hg2Au
_cell_length_a 14.8187
_cell_length_b 14.8187
_cell_length_c 4.4820
_cell_angle_alpha 90.00
_cell_angle_beta 90.00
_cell_angle_gamma 90.00
_symmetry_space_group_name_H-M 'P 4/m b m'
_symmetry_Int_Tables_number 127
_symmetry_space_group_name_Hall '-P 4 2ab'
loop_
_atom_site_label
_atom_site_type_symbol
_atom_site_fract_x
_atom_site_fract_y
_atom_site_fract_z
K1 K 0.0000 0.5000 0.0000
K2 K 0.0553 0.1814 0.0000
Rb1 Rb 0.1784 0.6784 0.5000
Hg1 Hg 0.1355 0.3645 0.5000
Au1 Au 0.0000 0.0000 0.5000
```

Largest 6 diffraction maxima, by angle, 10° ≤ 2θ ≤ 90°:
| d/Å | 2theta | intensity | hkl |
| --- | --- | --- | --- |
| 6.627 | 13.4 | 30 | 2 1 0 |
| 4.686 | 18.9 | 52 | 3 1 0 |
| 4.482 | 19.8 | 24 | 0 0 1 |
| 3.239 | 27.5 | 100 | 3 1 1 |
| 3.029 | 29.5 | 24 | 3 2 1 |
| 2.262 | 39.9 | 16 | 4 4 1 |

=====

This entry pairs a crystal structure of Th4Pb2C with its calculated powder diffractogram. Radiation: CuKα. Structure: a structure optimized by DFT (GGA-PBE).
Neutral-atom scattering factors, no anomalous dispersion.

Structure:
```
data_Th4Pb2C
_cell_length_a 6.6194
_cell_length_b 6.8329
_cell_length_c 9.7540
_cell_angle_alpha 90.00
_cell_angle_beta 109.58
_cell_angle_gamma 90.00
_symmetry_space_group_name_H-M 'P 1 21/m 1'
_symmetry_Int_Tables_number 11
_symmetry_space_group_name_Hall '-P 2yb'
loop_
_atom_site_label
_atom_site_type_symbol
_atom_site_fract_x
_atom_site_fract_y
_atom_site_fract_z
Th1 Th 0.2057 0.2500 0.0398
Th2 Th 0.2565 0.5153 0.7065
Th3 Th 0.2600 0.7500 0.3444
Pb1 Pb 0.2460 0.2500 0.3972
Pb2 Pb 0.3236 0.7500 0.0302
C1 C 0.1061 0.2500 0.7856
```

Largest 6 diffraction maxima, by angle, 10° ≤ 2θ ≤ 90°:
| d/Å | 2theta | intensity | hkl |
| --- | --- | --- | --- |
| 3.207 | 27.8 | 50 | 1 0 -3 |
| 3.118 | 28.6 | 100 | 2 0 0 |
| 3.063 | 29.2 | 61 | 0 0 3 |
| 2.994 | 29.8 | 78 | 1 2 -1 |
| 2.742 | 32.7 | 53 | 0 2 2 |
| 2.721 | 32.9 | 96 | 1 2 1 |